No. 1
Ce2TlSn3: computed powder diffraction line list (CuKα), based on DFT lattice parameters and positions (GGA-PBE).

Structural model:
```
6
Lattice="2.2268 -7.6753 0.0000 2.2268 7.6753 0.0000 0.0000 0.0000 4.8271" Properties=species:S:1:pos:R:3 pbc="T T T"
Ce 2.2268 5.3640 0.0000
Ce 2.2268 -5.3640 0.0000
Tl 0.0000 0.0000 2.4136
Sn 2.2268 2.7395 2.4136
Sn 2.2268 0.0000 0.0000
Sn 2.2268 -2.7395 2.4136
```

The 10 most intense peaks (2θ = 10–80°), by intensity:
d/Å	two_theta	I/Imax
2.757	32.5	100
2.414	37.3	18
2.558	35.1	18
1.451	64.2	14
2.227	40.5	14
1.367	68.6	12
1.756	52.1	12
1.513	61.3	11
1.637	56.2	11
1.379	68.0	11

=====

No. 2
LaTl2: computed powder diffraction line list (CuKα), based on DFT lattice parameters and positions (GGA-PBE).

Structural model:
```
3
Lattice="-1.9265 2.4846 4.9066 1.9265 -2.4846 4.9066 1.9265 2.4846 -4.9066" Properties=species:S:1:pos:R:3 pbc="T T T"
La 0.0000 0.0000 0.0000
Tl 0.0000 0.0000 3.2941
Tl 0.0000 0.0000 6.5190
```

The 10 most intense peaks (2θ = 10–80°), by intensity:
d/Å	two_theta	I/Imax
3.045	29.3	100
2.732	32.8	75
2.494	36.0	58
1.760	52.0	42
1.574	58.6	29
2.485	36.2	29
1.522	60.9	26
1.441	64.7	21
1.926	47.2	14
1.478	62.9	12

=====

No. 3
CaNiMoP2: computed powder diffraction line list (CuKα), based on DFT lattice parameters and positions (GGA-PBE).

Structural model:
```
5
Lattice="-1.9642 1.9642 5.6018 1.9642 -1.9642 5.6018 1.9642 1.9642 -5.6018" Properties=species:S:1:pos:R:3 pbc="T T T"
Ca 0.0000 0.0000 0.0000
Ni 1.9642 0.0000 2.8009
Mo 0.0000 1.9642 2.8009
P 0.0000 0.0000 4.0768
P 0.0000 0.0000 7.1268
```

The 10 most intense peaks (2θ = 10–80°), by intensity:
d/Å	two_theta	I/Imax
2.489	36.1	100
5.602	15.8	84
1.964	46.2	43
1.972	46.0	41
2.707	33.1	32
1.550	59.7	29
2.801	32.0	19
1.213	78.9	18
1.854	49.2	18
1.608	57.3	14

=====

No. 4
Si2NiBr: computed powder diffraction line list (CuKα), based on DFT lattice parameters and positions (GGA-PBE).

Structural model:
```
4
Lattice="2.3713 -3.5746 0.0000 2.3713 3.5746 0.0000 0.0000 0.0000 4.1741" Properties=species:S:1:pos:R:3 pbc="T T T"
Si 2.3713 2.3361 0.0000
Si 2.3713 -2.3361 0.0000
Ni 0.0000 0.0000 2.0870
Br 2.3713 0.0000 2.0870
```

The 10 most intense peaks (2θ = 10–80°), by intensity:
d/Å	two_theta	I/Imax
2.715	33.0	100
1.786	51.1	62
2.371	37.9	43
3.575	24.9	42
4.174	21.3	36
2.087	43.4	29
1.567	59.0	23
1.351	69.6	18
1.643	56.0	18
1.976	45.9	16

=====

No. 5
Ce6TlO12: computed powder diffraction line list (CuKα), based on DFT lattice parameters and positions (GGA-PBE).

Structural model:
```
19
Lattice="5.2893 3.0538 3.0946 -5.2893 3.0538 3.0946 0.0000 -6.1075 3.0946" Properties=species:S:1:pos:R:3 pbc="T T T"
Ce -3.7094 -1.2012 4.7322
Ce -0.8144 -3.8130 4.5515
Ce -2.8949 2.6118 4.5515
Ce 2.8949 -2.6118 4.7322
Ce 0.8144 3.8130 4.7322
Ce 3.7094 1.2012 4.5515
Tl 0.0000 0.0000 4.6419
O -4.5966 1.0967 4.0597
O -3.2481 -3.4324 5.2240
O -1.5064 -1.9240 3.6919
O 1.3485 -4.5291 4.0597
O -2.4195 0.3426 5.5919
O -0.9131 2.2666 3.6919
O 0.9131 -2.2666 5.5919
O 2.4195 -0.3426 3.6919
O -1.3485 4.5291 5.2240
O 1.5064 1.9240 5.5919
O 3.2481 3.4324 4.0597
O 4.5966 -1.0967 5.2240
```

The 10 most intense peaks (2θ = 10–80°), by intensity:
d/Å	two_theta	I/Imax
3.244	27.5	100
2.775	32.3	43
1.999	45.4	33
3.095	28.9	30
1.928	47.1	29
1.679	54.7	28
1.702	53.9	15
1.636	56.2	13
1.622	56.8	11
1.296	73.0	11

=====

No. 6
PmB3Ir3: computed powder diffraction line list (CuKα), based on DFT lattice parameters and positions (GGA-PBE).

Structural model:
```
28
Lattice="7.3885 0.0000 0.0000 0.0000 6.7360 0.0000 -1.7427 0.0000 7.9994" Properties=species:S:1:pos:R:3 pbc="T T T"
Pm -0.1015 0.0000 0.8046
Pm 2.5988 4.0043 2.4952
Pm 3.0470 0.6363 5.5042
Pm 5.7473 3.3680 7.1948
B -0.4641 3.8296 4.2729
B -0.4401 5.1953 5.6306
B 0.4072 1.8635 5.5370
B 1.9995 0.2466 2.7862
B 2.5122 0.1344 1.1494
B 1.4970 3.6946 7.6567
B 4.1488 0.3266 0.3427
B 3.1336 3.5024 6.8500
B 3.6463 3.6146 5.2132
B 5.2386 5.2315 2.4624
B 6.0859 1.8273 2.3687
B 6.1099 0.4616 3.7264
Ir -1.0847 0.4849 5.9071
Ir 0.4624 5.8209 3.7717
Ir 0.5674 1.7777 3.4667
Ir 0.7019 5.6339 7.3310
Ir 0.8348 1.6882 7.5719
Ir 1.4162 3.7259 5.4484
Ir 4.2296 0.3579 2.5510
Ir 4.8110 5.0562 0.4275
Ir 4.9439 2.2659 0.6684
Ir 5.0784 5.1457 4.5327
Ir 5.1834 2.4529 4.2276
Ir 6.7305 3.8529 2.0923
```

The 10 most intense peaks (2θ = 10–80°), by intensity:
d/Å	two_theta	I/Imax
2.576	34.8	100
2.463	36.5	69
2.754	32.5	62
2.502	35.9	57
6.036	14.7	51
2.782	32.2	50
1.957	46.4	44
2.770	32.3	43
2.404	37.4	43
2.453	36.6	43